# Ni5O7
Calculated X-ray diffraction stick pattern, Cu Kα (weighted mean of Kα1 and Kα2). Input: a GGA+U-relaxed structure.

Top 6 peaks for 10° ≤ 2θ ≤ 80°, in order of rising 2θ:
hkl, d_spacing, 2theta, I_rel
0 0 2, 8.169, 10.83, 840
0 2 6, 2.390, 37.64, 1000
1 3 1, 2.187, 41.29, 392
1 3 2, 2.130, 42.44, 643
1 3 3, 2.045, 44.29, 652
2 0 0, 1.475, 63.02, 513

Crystal structure
Lattice parameters (Å, degrees): 2.9519 9.9648 16.3387 90.00 90.00 90.00
Space group Cmcm (No. 63)
Unique sites:
Ni 0.0000 0.0000 0.0000
Ni 0.0000 0.2737 0.0852
Ni 0.0000 0.4616 0.6556
O 0.0000 0.0899 0.6061
O 0.0000 0.1528 0.1829
O 0.0000 0.3650 0.5445
O 0.0000 0.4416 0.2500